1.
Simulated PXRD pattern
Compound: BaCaNbWO6
Radiation: Cu Kα (λ = 1.5418 Å)
Structure: a structure optimized by DFT (PBE+U)
Lines closer than 0.1° are merged.

Top 6 peaks for 5° ≤ 2θ ≤ 70°, in order of rising 2θ:
- 18.58°, d = 4.776 Å, rel. 18, hkl 1 1 1
- 21.48°, d = 4.136 Å, rel. 13, hkl 2 0 0
- 30.56°, d = 2.925 Å, rel. 100, hkl 2 2 0
- 43.77°, d = 2.068 Å, rel. 31, hkl 4 0 0
- 54.32°, d = 1.689 Å, rel. 40, hkl 4 2 2
- 63.62°, d = 1.462 Å, rel. 19, hkl 4 4 0

Structure:
Unit cell a=8.2730 b=8.2730 c=8.2730 alpha=90.00 beta=90.00 gamma=90.00
Space group F-43m (No. 216)
Unique sites:
Ba 0.0000 0.0000 0.0000
Ca 0.0000 0.0000 0.5000
Nb 0.2500 0.2500 0.7500
W 0.2500 0.2500 0.2500
O 0.0071 0.2500 0.7500

2.
Simulated PXRD pattern
Compound: Ba2CaV2P4O18
Radiation: Cu Kα (λ = 1.5418 Å)
Structure: a structure optimized by DFT (PBE+U)
Lines closer than 0.1° are merged.

Top 6 peaks for 5° ≤ 2θ ≤ 70°, in order of rising 2θ:
- 17.58°, d = 5.045 Å, rel. 47, hkl 0 1 2
- 25.05°, d = 3.555 Å, rel. 51, hkl 2 0 -2
- 27.84°, d = 3.205 Å, rel. 76, hkl 0 1 4
- 28.01°, d = 3.185 Å, rel. 100, hkl 1 1 -4
- 28.08°, d = 3.178 Å, rel. 38, hkl 2 1 -2
- 30.30°, d = 2.949 Å, rel. 40, hkl 2 0 2

Structure:
Unit cell a=7.3689 b=7.1203 c=14.7634 alpha=90.00 beta=103.31 gamma=90.00
Space group Pc (No. 7)
Unique sites:
Ba 0.0000 0.0136 0.0000
Ba 0.7570 0.4761 0.8577
Ca 0.5561 0.2723 0.0872
V 0.2117 0.2656 0.2629
V 0.5345 0.2337 0.5983
P 0.2428 0.4687 0.4293
P 0.5017 0.0352 0.4283
P 0.8281 0.0333 0.2354
P 0.9155 0.4715 0.6257
O 0.0076 0.3074 0.5918
O 0.0267 0.0854 0.2182
O 0.0280 0.4575 0.2233
O 0.0966 0.3097 0.4045
O 0.1632 0.3391 0.9384
O 0.3169 0.2725 0.1761
O 0.3498 0.4504 0.3467
O 0.3544 0.0699 0.3373
O 0.3954 0.0500 0.5137
O 0.4005 0.4346 0.5211
O 0.4255 0.2224 0.6802
O 0.5801 0.1637 0.9365
O 0.6512 0.1897 0.4518
O 0.7183 0.4148 0.6504
O 0.7207 0.2122 0.2461
O 0.7234 0.0420 0.6346
O 0.8486 0.1121 0.8113
O 0.8557 0.3652 0.0570

Please write out number 1 again, unchanged.
Simulated PXRD pattern
Compound: BaCaNbWO6
Radiation: Cu Kα (λ = 1.5418 Å)
Structure: a structure optimized by DFT (PBE+U)
Lines closer than 0.1° are merged.

Top 6 peaks for 5° ≤ 2θ ≤ 70°, in order of rising 2θ:
- 18.58°, d = 4.776 Å, rel. 18, hkl 1 1 1
- 21.48°, d = 4.136 Å, rel. 13, hkl 2 0 0
- 30.56°, d = 2.925 Å, rel. 100, hkl 2 2 0
- 43.77°, d = 2.068 Å, rel. 31, hkl 4 0 0
- 54.32°, d = 1.689 Å, rel. 40, hkl 4 2 2
- 63.62°, d = 1.462 Å, rel. 19, hkl 4 4 0

Structure:
Unit cell a=8.2730 b=8.2730 c=8.2730 alpha=90.00 beta=90.00 gamma=90.00
Space group F-43m (No. 216)
Unique sites:
Ba 0.0000 0.0000 0.0000
Ca 0.0000 0.0000 0.5000
Nb 0.2500 0.2500 0.7500
W 0.2500 0.2500 0.2500
O 0.0071 0.2500 0.7500